The following is a simulated X-ray powder pattern of Ba2LaReO6. It was derived from a cell relaxed with PBE, using Cu Kα, 1.54184 Å.
Intensities are scaled so that the largest is 1000.

Peak list (8 most intense, 2θ from 15° to 90°, in order of rising 2θ)
20.44°, d 4.345, I 35, (2 0 0); 29.06°, d 3.072, I 1000, (2 2 0); 41.57°, d 2.172, I 283, (4 0 0); 51.52°, d 1.774, I 408, (4 2 2); 60.25°, d 1.536, I 180, (4 4 0); 68.26°, d 1.374, I 186, (6 2 0); 75.85°, d 1.254, I 59, (4 4 4); 83.19°, d 1.161, I 219, (6 4 2)

Lattice parameters (Å, degrees): 8.6897 8.6897 8.6897 90.00 90.00 90.00
Space group Fm-3m (No. 225)
Inequivalent atoms, fractional coordinates:
Ba1 0.2500 0.2500 0.2500
La1 0.0000 0.0000 0.0000
Re1 0.0000 0.0000 0.5000
O1 0.0000 0.0000 0.2716